Structure and theoretical powder diffractogram of Nb3VCl9 (a structure optimized by DFT (PBE); λ = 1.5418 Å (Cu Kα)).

Structure:
```
data_Nb3VCl9
_chemical_formula_sum 'Nb6 V2 Cl18'
_cell_length_a 9.2494
_cell_length_b 9.2494
_cell_length_c 12.4756
_cell_angle_alpha 121.18
_cell_angle_beta 121.18
_cell_angle_gamma 56.22
_space_group_name_H-M_alt 'P 1'
_space_group_IT_number 1
loop_
_space_group_symop_operation_xyz
'x,y,z'
loop_
_atom_site_label
_atom_site_type_symbol
_atom_site_fract_x
_atom_site_fract_y
_atom_site_fract_z
Nb1 Nb 0.0920 0.7410 0.6224
Nb2 Nb 0.0937 0.9063 0.5000
Nb3 Nb 0.3587 0.5942 0.5148
Nb4 Nb 0.5942 0.3587 0.0148
Nb5 Nb 0.7410 0.0920 0.1224
Nb6 Nb 0.9063 0.0937 0.0000
V1 V 0.5195 0.9547 0.2618
V2 V 0.9547 0.5195 0.7618
Cl1 Cl 0.0731 0.1966 0.6926
Cl2 Cl 0.1402 0.6430 0.2988
Cl3 Cl 0.1425 0.9392 0.8425
Cl4 Cl 0.1966 0.0731 0.1926
Cl5 Cl 0.2586 0.4133 0.5346
Cl6 Cl 0.2599 0.5189 0.8550
Cl7 Cl 0.4085 0.8542 0.5470
Cl8 Cl 0.4133 0.2586 0.0346
Cl9 Cl 0.5189 0.2599 0.3550
Cl10 Cl 0.5492 0.6437 0.2134
Cl11 Cl 0.6381 0.8624 0.1006
Cl12 Cl 0.6430 0.1402 0.7988
Cl13 Cl 0.6437 0.5492 0.7134
Cl14 Cl 0.8042 0.9101 0.4751
Cl15 Cl 0.8542 0.4085 0.0470
Cl16 Cl 0.8624 0.6381 0.6006
Cl17 Cl 0.9101 0.8042 0.9751
Cl18 Cl 0.9392 0.1425 0.3425
```

Most intense lines, 2θ from 10° to 90°, in order of rising 2θ:
- 12.49°, d 7.089, I = 42
- 13.41°, d 6.605, I = 52
- 14.54°, d 6.093, I = 41
- 17.17°, d 5.164, I = 100
- 17.56°, d 5.050, I = 21
- 19.48°, d 4.558, I = 17
- 29.31°, d 3.048, I = 16
- 32.72°, d 2.737, I = 14
- 43.15°, d 2.096, I = 14
- 44.59°, d 2.032, I = 15